No. 1
Calculated X-ray powder pattern of Mn3ZnO7 for Cu Kα X-rays, from a structure optimized by DFT (PBE+U).
Intensities are scaled so that the largest is 100.

Main lines, in order of falling intensity (2θ from 15° to 90°):
(3 -1 1), 2θ 35.64, I = 100; (3 -1 4), 2θ 40.73, I = 74; (4 1 0), 2θ 63.30, I = 53; (0 1 5), 2θ 28.10, I = 36; (3 -1 7), 2θ 50.44, I = 34; (2 -1 6), 2θ 37.87, I = 33; (4 1 3), 2θ 65.41, I = 30; (1 2 11), 2θ 68.10, I = 26; (1 0 4), 2θ 23.77, I = 22; (1 2 2), 2θ 36.70, I = 21

Crystal structure
```
data_Mn3ZnO7
_cell_length_a 7.7729
_cell_length_b 7.7729
_cell_length_c 18.0113
_cell_angle_alpha 90.00
_cell_angle_beta 90.00
_cell_angle_gamma 120.00
_space_group_name_H-M_alt 'R -3'
_space_group_IT_number 148
_space_group_name_Hall '-R 3'
loop_
_atom_site_label
_atom_site_type_symbol
_atom_site_fract_x
_atom_site_fract_y
_atom_site_fract_z
Mn1 Mn 0.0505 0.8107 0.1681
Zn1 Zn 0.0000 0.0000 0.4196
O1 O 0.0000 0.0000 0.2215
O2 O 0.0455 0.8084 0.8849
O3 O 0.0566 0.7891 0.4391
```


No. 2
Calculated X-ray powder pattern of MnZnO2 for Cu Kα X-rays, from a structure optimized by DFT (PBE+U).
Intensities are scaled so that the largest is 100.

Main lines, in order of falling intensity (2θ from 15° to 90°):
(1 1 -1), 2θ 34.05, I = 100; (0 2 -2), 2θ 31.08, I = 40; (0 0 2), 2θ 21.31, I = 38; (0 3 1), 2θ 34.22, I = 36; (0 1 -3), 2θ 34.39, I = 30; (0 2 0), 2θ 21.69, I = 27; (-1 2 2), 2θ 48.21, I = 26; (1 3 3), 2θ 48.92, I = 26; (1 2 2), 2θ 37.48, I = 21; (1 4 0), 2θ 49.85, I = 20

Crystal structure
```
data_MnZnO2
_cell_length_a 3.050
_cell_length_b 8.319
_cell_length_c 8.474
_cell_angle_alpha 86.55
_cell_angle_beta 79.99
_cell_angle_gamma 80.25
_space_group_name_H-M_alt 'P -1'
_space_group_IT_number 2
loop_
_space_group_symop_operation_xyz
'x,y,z'
'-x,-y,-z'
loop_
_atom_site_label
_atom_site_type_symbol
_atom_site_fract_x
_atom_site_fract_y
_atom_site_fract_z
Mn1 Mn 0.095 0.088 0.231
Mn2 Mn 0.317 0.277 0.583
Zn1 Zn 0.094 0.586 0.761
Zn2 Zn 0.316 0.763 0.103
O1 O 0.089 0.758 0.577
O2 O 0.302 0.102 0.791
O3 O 0.308 0.582 0.269
O4 O 0.446 0.738 0.877
```


No. 3
Calculated X-ray powder pattern of MnZnO2 for Cu Kα X-rays, from a structure optimized by DFT (PBE+U).
Intensities are scaled so that the largest is 100.

Main lines, in order of falling intensity (2θ from 15° to 90°):
(1 1 -2), 2θ 34.02, I = 100; (6 0 -2), 2θ 34.24, I = 63; (5 1 0), 2θ 48.57, I = 49; (7 1 -4), 2θ 49.52, I = 46; (0 0 2), 2θ 21.22, I = 38; (4 0 -4), 2θ 30.98, I = 36; (3 1 0), 2θ 37.21, I = 36; (5 1 -2), 2θ 40.68, I = 33; (4 0 -2), 2θ 21.71, I = 26; (0 2 0), 2θ 60.75, I = 18

Crystal structure
```
data_MnZnO2
_cell_length_a 16.384
_cell_length_b 3.049
_cell_length_c 11.548
_cell_angle_alpha 90.00
_cell_angle_beta 133.51
_cell_angle_gamma 90.00
_space_group_name_H-M_alt 'C 1 2/m 1'
_space_group_IT_number 12
loop_
_space_group_symop_operation_xyz
'x,y,z'
'-x,-y,-z'
'-x,y,-z'
'x,-y,z'
'x+1/2,y+1/2,z'
'-x+1/2,-y+1/2,-z'
'-x+1/2,y+1/2,-z'
'x+1/2,-y+1/2,z'
loop_
_atom_site_label
_atom_site_type_symbol
_atom_site_fract_x
_atom_site_fract_y
_atom_site_fract_z
Mn1 Mn 0.094 0.000 0.282
Mn2 Mn 0.174 0.500 0.073
Zn1 Zn 0.077 0.000 0.734
Zn2 Zn 0.189 0.500 0.614
O1 O 0.059 0.500 0.387
O2 O 0.079 0.000 0.914
O3 O 0.180 0.500 0.778
O4 O 0.193 0.500 0.286
```


No. 4
Calculated X-ray powder pattern of Mn2ZnO5 for Cu Kα X-rays, from a structure optimized by DFT (PBE+U).
Intensities are scaled so that the largest is 100.

Main lines, in order of falling intensity (2θ from 15° to 90°):
(0 2 1), 2θ 25.31, I = 100; (1 1 1), 2θ 33.31, I = 87; (1 3 0), 2θ 34.20, I = 83; (0 0 2), 2θ 40.93, I = 43; (1 2 2), 2θ 51.22, I = 41; (0 4 1), 2θ 36.93, I = 38; (2 0 0), 2θ 51.54, I = 36; (0 6 0), 2θ 46.67, I = 30; (0 3 1), 2θ 30.63, I = 29; (1 0 1), 2θ 32.39, I = 28

Crystal structure
```
data_Mn2ZnO5
_cell_length_a 3.547
_cell_length_b 11.676
_cell_length_c 4.410
_cell_angle_alpha 90.00
_cell_angle_beta 90.00
_cell_angle_gamma 90.00
_space_group_name_H-M_alt 'P m m n'
_space_group_IT_number 59
loop_
_space_group_symop_operation_xyz
'x,y,z'
'-x,-y,-z'
'-x+1/2,-y+1/2,z'
'x+1/2,y+1/2,-z'
'x+1/2,-y,-z'
'-x+1/2,y,z'
'-x,y+1/2,-z'
'x,-y+1/2,z'
loop_
_atom_site_label
_atom_site_type_symbol
_atom_site_fract_x
_atom_site_fract_y
_atom_site_fract_z
Mn1 Mn 0.250 0.098 0.053
Zn1 Zn 0.250 0.750 0.432
O1 O 0.250 0.135 0.447
O2 O 0.250 0.250 0.923
O3 O 0.250 0.572 0.049
```


No. 5
Calculated X-ray powder pattern of MnZnO3 for Cu Kα X-rays, from a structure optimized by DFT (PBE+U).
Intensities are scaled so that the largest is 100.

Main lines, in order of falling intensity (2θ from 15° to 90°):
(1 2 1), 2θ 34.60, I = 100; (0 4 2), 2θ 62.01, I = 21; (1 2 3), 2θ 62.98, I = 20; (2 0 2), 2θ 50.28, I = 19; (0 0 2), 2θ 35.35, I = 18; (0 4 0), 2θ 49.22, I = 12; (2 4 2), 2θ 73.00, I = 10; (2 4 0), 2θ 61.54, I = 9; (3 1 1), 2θ 57.67, I = 7; (1 6 1), 2θ 82.56, I = 7

Crystal structure
```
data_MnZnO3
_cell_length_a 5.188
_cell_length_b 7.406
_cell_length_c 5.078
_cell_angle_alpha 90.00
_cell_angle_beta 90.00
_cell_angle_gamma 90.00
_space_group_name_H-M_alt 'P n m a'
_space_group_IT_number 62
loop_
_space_group_symop_operation_xyz
'x,y,z'
'-x,-y,-z'
'-x+1/2,-y,z+1/2'
'x+1/2,y,-z+1/2'
'x+1/2,-y+1/2,-z+1/2'
'-x+1/2,y+1/2,z+1/2'
'-x,y+1/2,-z'
'x,-y+1/2,z'
loop_
_atom_site_label
_atom_site_type_symbol
_atom_site_fract_x
_atom_site_fract_y
_atom_site_fract_z
Mn1 Mn 0.000 0.000 0.000
Zn1 Zn 0.048 0.250 0.491
O1 O 0.062 0.750 0.120
O2 O 0.189 0.564 0.685
```


No. 6
Calculated X-ray powder pattern of MnZn4O5 for Cu Kα X-rays, from a structure optimized by DFT (PBE+U).
Intensities are scaled so that the largest is 100.

Main lines, in order of falling intensity (2θ from 15° to 90°):
(1 0 -5), 2θ 35.44, I = 100; (0 0 10), 2θ 33.40, I = 59; (1 0 0), 2θ 31.12, I = 52; (1 1 5), 2θ 35.54, I = 49; (1 0 -15), 2θ 61.03, I = 42; (2 1 0), 2θ 55.53, I = 35; (1 1 10), 2θ 46.31, I = 29; (2 1 -10), 2θ 66.37, I = 28; (1 1 0), 2θ 31.25, I = 27; (1 -1 0), 2θ 55.30, I = 18

Crystal structure
```
data_MnZn4O5
_cell_length_a 3.309
_cell_length_b 3.310
_cell_length_c 26.831
_cell_angle_alpha 89.94
_cell_angle_beta 89.97
_cell_angle_gamma 60.25
_space_group_name_H-M_alt 'P 1'
_space_group_IT_number 1
loop_
_space_group_symop_operation_xyz
'x,y,z'
loop_
_atom_site_label
_atom_site_type_symbol
_atom_site_fract_x
_atom_site_fract_y
_atom_site_fract_z
Mn1 Mn 0.000 0.000 0.000
Mn2 Mn 0.002 0.999 0.203
Zn1 Zn 0.002 0.000 0.403
Zn2 Zn 0.002 0.000 0.601
Zn3 Zn 0.002 0.000 0.800
Zn4 Zn 0.667 0.667 0.101
Zn5 Zn 0.667 0.667 0.502
Zn6 Zn 0.668 0.665 0.305
Zn7 Zn 0.668 0.666 0.701
Zn8 Zn 0.668 0.666 0.898
O1 O 0.000 0.002 0.526
O2 O 0.001 0.001 0.125
O3 O 0.002 0.000 0.328
O4 O 0.002 0.000 0.724
O5 O 0.002 0.000 0.922
O6 O 0.667 0.668 0.027
O7 O 0.668 0.665 0.823
O8 O 0.668 0.666 0.427
O9 O 0.668 0.666 0.625
O10 O 0.669 0.666 0.230
```


No. 7
Calculated X-ray powder pattern of MnZnO3 for Cu Kα X-rays, from a structure optimized by DFT (PBE+U).
Intensities are scaled so that the largest is 100.

Main lines, in order of falling intensity (2θ from 15° to 90°):
(1 1 0), 2θ 33.91, I = 100; (2 0 0), 2θ 48.71, I = 42; (2 1 1), 2θ 60.67, I = 35; (2 2 0), 2θ 71.35, I = 22; (3 1 0), 2θ 81.39, I = 15; (1 1 1), 2θ 41.85, I = 12; (3 1 1), 2θ 86.29, I = 3

Crystal structure
```
data_MnZnO3
_cell_length_a 3.739
_cell_length_b 3.739
_cell_length_c 3.739
_cell_angle_alpha 90.00
_cell_angle_beta 90.00
_cell_angle_gamma 90.00
_space_group_name_H-M_alt 'P m -3 m'
_space_group_IT_number 221
_space_group_name_Hall '-P 4 2 3'
loop_
_atom_site_label
_atom_site_type_symbol
_atom_site_fract_x
_atom_site_fract_y
_atom_site_fract_z
Mn1 Mn 0.000 0.000 0.000
Zn1 Zn 0.500 0.500 0.500
O1 O 0.000 0.000 0.500
```


No. 8
Calculated X-ray powder pattern of MnZn4O5 for Cu Kα X-rays, from a structure optimized by DFT (PBE+U).
Intensities are scaled so that the largest is 100.

Main lines, in order of falling intensity (2θ from 15° to 90°):
(1 1 -1), 2θ 35.50, I = 100; (0 1 -4), 2θ 31.16, I = 53; (0 2 2), 2θ 33.53, I = 40; (1 3 1), 2θ 61.23, I = 34; (1 1 -6), 2θ 55.41, I = 24; (0 1 6), 2θ 46.42, I = 23; (1 3 -4), 2θ 66.34, I = 19; (2 -1 0), 2θ 55.53, I = 12; (2 -1 5), 2θ 67.64, I = 10; (2 1 2), 2θ 66.44, I = 10

Crystal structure
```
data_MnZn4O5
_cell_length_a 3.310
_cell_length_b 6.289
_cell_length_c 12.680
_cell_angle_alpha 93.18
_cell_angle_beta 90.02
_cell_angle_gamma 105.25
_space_group_name_H-M_alt 'P 1'
_space_group_IT_number 1
loop_
_space_group_symop_operation_xyz
'x,y,z'
loop_
_atom_site_label
_atom_site_type_symbol
_atom_site_fract_x
_atom_site_fract_y
_atom_site_fract_z
Mn1 Mn 0.000 0.000 0.000
Mn2 Mn 0.184 0.399 0.597
Zn1 Zn 0.055 0.129 0.362
Zn2 Zn 0.262 0.530 0.963
Zn3 Zn 0.391 0.797 0.199
Zn4 Zn 0.461 0.931 0.563
Zn5 Zn 0.586 0.199 0.797
Zn6 Zn 0.665 0.336 0.166
Zn7 Zn 0.795 0.599 0.396
Zn8 Zn 0.853 0.733 0.765
O1 O 0.039 0.087 0.518
O2 O 0.103 0.232 0.886
O3 O 0.244 0.496 0.121
O4 O 0.313 0.634 0.484
O5 O 0.435 0.896 0.721
O6 O 0.516 0.032 0.096
O7 O 0.639 0.295 0.322
O8 O 0.700 0.432 0.693
O9 O 0.841 0.689 0.921
O10 O 0.906 0.826 0.288
```


No. 9
Calculated X-ray powder pattern of Mn3ZnO10 for Cu Kα X-rays, from a structure optimized by DFT (PBE+U).
Intensities are scaled so that the largest is 100.

Main lines, in order of falling intensity (2θ from 15° to 90°):
(3 -1 4), 2θ 40.23, I = 100; (1 0 4), 2θ 22.19, I = 87; (3 -1 1), 2θ 36.14, I = 57; (3 -1 10), 2θ 58.88, I = 54; (4 1 0), 2θ 64.44, I = 52; (3 -1 7), 2θ 48.20, I = 50; (0 1 5), 2θ 25.91, I = 49; (1 2 8), 2θ 51.50, I = 46; (0 2 4), 2θ 32.36, I = 36; (1 2 2), 2θ 36.99, I = 36

Crystal structure
```
data_Mn3ZnO10
_cell_length_a 7.6513
_cell_length_b 7.6513
_cell_length_c 20.1164
_cell_angle_alpha 90.00
_cell_angle_beta 90.00
_cell_angle_gamma 120.00
_space_group_name_H-M_alt 'R -3'
_space_group_IT_number 148
_space_group_name_Hall '-R 3'
loop_
_atom_site_label
_atom_site_type_symbol
_atom_site_fract_x
_atom_site_fract_y
_atom_site_fract_z
Mn1 Mn 0.0504 0.8079 0.1665
Zn1 Zn 0.0000 0.0000 0.3938
O1 O 0.0000 0.0000 0.2140
O2 O 0.0449 0.8070 0.8819
O3 O 0.0515 0.7972 0.4478
O4 O 0.0635 0.8254 0.6645
```


No. 10
Calculated X-ray powder pattern of Mn2ZnO5 for Cu Kα X-rays, from a structure optimized by DFT (PBE+U).
Intensities are scaled so that the largest is 100.

Main lines, in order of falling intensity (2θ from 15° to 90°):
(1 1 0), 2θ 25.90, I = 100; (0 2 3), 2θ 29.48, I = 77; (1 3 1), 2θ 37.86, I = 72; (0 2 0), 2θ 18.30, I = 68; (1 1 3), 2θ 34.85, I = 67; (0 2 2), 2θ 23.88, I = 52; (2 0 0), 2θ 49.55, I = 40; (0 0 6), 2θ 46.81, I = 34; (1 5 4), 2θ 62.88, I = 27; (0 2 4), 2θ 35.98, I = 23

Crystal structure
```
data_Mn2ZnO5
_cell_length_a 3.679
_cell_length_b 9.696
_cell_length_c 11.645
_cell_angle_alpha 90.00
_cell_angle_beta 90.00
_cell_angle_gamma 90.00
_space_group_name_H-M_alt 'C m c m'
_space_group_IT_number 63
_space_group_name_Hall '-C 2c 2'
loop_
_atom_site_label
_atom_site_type_symbol
_atom_site_fract_x
_atom_site_fract_y
_atom_site_fract_z
Mn1 Mn 0.000 0.219 0.098
Zn1 Zn 0.000 0.082 0.750
O1 O 0.000 0.041 0.118
O2 O 0.000 0.235 0.575
O3 O 0.000 0.302 0.250
```